Starting from a crystal structure in the Materials Project, relaxed with PBE+U, the powder X-ray diffraction pattern of Li7Mn5O12 was simulated for Cu Kα (λ = 1.5418 Å).
No peak broadening, texture or thermal motion is included.

Crystal structure
a = 5.1291 Å, b = 5.8672 Å, c = 7.9511 Å
α = 78.89°, β = 80.04°, γ = 72.33°
Space group P-1 (No. 2)
Inequivalent atoms, fractional coordinates:
Li  0.0000  0.0000  0.0000
Li  0.0000  0.5000  0.0000
Li  0.0098  0.1659  0.3155
Li  0.4803  0.6658  0.8468
Li  0.5000  0.0000  0.5000
Mn  0.0072  0.6697  0.3229
Mn  0.4923  0.1675  0.8424
Mn  0.5000  0.5000  0.5000
O  0.2417  0.4831  0.7595
O  0.2470  0.0277  0.7485
O  0.2502  0.3607  0.4182
O  0.2739  0.6817  0.0897
O  0.2796  0.8237  0.3931
O  0.2853  0.1502  0.0717

Top 10 peaks for 2θ = 10–80°, by angle:
d [Å]	I_rel	(hkl)
4.855	100.0	0 1 1
2.599	14.6	1 1 -2
2.518	11.9	2 1 1
2.471	11.8	1 -1 2
2.171	31.0	1 0 -3
2.084	27.8	2 2 2
2.044	26.4	1 -2 1
1.934	8.5	-2 1 1
1.510	7.9	3 2 -1
1.492	7.6	-2 2 2